Calculated XRD peak list of GdTmPb2 for Cu Kα, 1.54184 Å, from DFT lattice parameters and positions (PBE).
Neutral-atom scattering factors, no anomalous dispersion.

Top 10 peaks for 10° ≤ 2θ ≤ 90°, low angle first:
- 31.26°, I 631, (1 1 0)
- 34.12°, I 1000, (1 0 2)
- 44.79°, I 239, (2 0 0)
- 57.48°, I 458, (2 1 2)
- 62.83°, I 173, (1 1 4)
- 65.21°, I 79, (2 2 0)
- 71.85°, I 117, (2 0 4)
- 74.09°, I 110, (3 1 0)
- 75.69°, I 104, (3 0 2)
- 88.79°, I 72, (2 2 4)

Structural model:
```
data_GdTmPb2
_space_group_name_H-M_alt 'P 4/m m m'
_space_group_IT_number 123
_space_group_name_Hall '-P 4 2'
_cell_length_a 4.0467
_cell_length_b 4.0467
_cell_length_c 6.9111
_cell_angle_alpha 90.00
_cell_angle_beta 90.00
_cell_angle_gamma 90.00
loop_
_atom_site_label
_atom_site_fract_x
_atom_site_fract_y
_atom_site_fract_z
Gd1 0.0000 0.0000 0.0000
Tm1 0.0000 0.0000 0.5000
Pb1 0.5000 0.5000 0.2578
```